Calculated PXRD pattern
Compound: Nd4Sm5Dy3
Radiation: Cu Kα, 1.54184 Å
Structure: DFT lattice parameters and positions (GGA-PBE)

The 10 most intense peaks (2θ = 10–80°), sorted by position:
- 2θ 28.44, I 29.6
- 2θ 28.71, I 35.8
- 2θ 29.01, I 33.6
- 2θ 29.82, I 100.0
- 2θ 30.66, I 41.0
- 2θ 31.32, I 46.9
- 2θ 32.09, I 78.8
- 2θ 32.42, I 30.2
- 2θ 33.17, I 63.4
- 2θ 43.30, I 32.0

Structure:
```
Nd4Sm5Dy3
1.0
8.173 -2.996 0.000
8.173 2.996 0.000
-4.206 0.000 8.446
Nd Sm Dy
4 5 3
Direct
0.083 0.083 0.442
0.216 0.216 0.879
0.784 0.784 0.121
0.917 0.917 0.558
0.000 0.000 0.000
0.328 0.328 0.612
0.426 0.426 0.298
0.574 0.574 0.702
0.672 0.672 0.388
0.209 0.209 0.229
0.500 0.500 0.000
0.791 0.791 0.771
```